Starting from the GGA-PBE geometry in OQMD, the powder diffraction line list of FeH6Pt was simulated for Cu Kα (λ = 1.5418 Å).
Peak positions follow from Bragg's law for the DFT cell and can differ from measured ones.

The 6 most intense peaks (10° ≤ 2θ ≤ 90°), by angle:
- 2θ 25.65, I 38
- 2θ 29.42, I 100
- 2θ 41.47, I 40
- 2θ 42.72, I 35
- 2θ 52.72, I 20
- 2θ 68.29, I 24

Structure:
abc: 4.2336 4.2336 10.8257
angles: 90.00 90.00 120.00
Space group R-3 (No. 148, hexagonal axes)
Unique sites:
Fe: 0.0000 0.0000 0.0000 (multiplicity 3)
H: 0.0062 0.3462 0.9193 (multiplicity 18)
Pt: 0.0000 0.0000 0.5000 (multiplicity 3)